NdEr4In3: simulated X-ray diffraction stick pattern (Cu Kα, 1.54184 Å), based on the GGA-PBE geometry in Alexandria.
Lines closer than 0.1° are merged.

Crystal structure
```
NdEr4In3
1.0
-1.7347 4.3652 7.6551
1.7347 -4.3652 7.6551
1.7347 4.3652 -7.6551
Nd Er In
1 4 3
Direct
0.0000 0.0000 0.0000
0.1613 0.8586 0.3026
0.4440 0.1414 0.3026
0.5560 0.8586 0.6974
0.8387 0.1414 0.6974
0.1871 0.6871 0.5000
0.5000 0.5000 0.0000
0.8129 0.3129 0.5000
```

Main lines, most intense first (2θ from 5° to 70°):
d = 2.876 Å, 31.09°, rel. 100
d = 2.398 Å, 37.51°, rel. 92
d = 2.971 Å, 30.08°, rel. 73
d = 2.528 Å, 35.51°, rel. 49
d = 1.444 Å, 64.51°, rel. 42
d = 2.466 Å, 36.44°, rel. 42
d = 2.674 Å, 33.51°, rel. 38
d = 2.552 Å, 35.17°, rel. 36
d = 2.859 Å, 31.29°, rel. 32
d = 3.384 Å, 26.34°, rel. 29

---

Nd12Er6In: simulated X-ray diffraction stick pattern (Cu Kα, 1.54184 Å), based on the GGA-PBE geometry in Alexandria.
Lines closer than 0.1° are merged.

Crystal structure
```
Nd12Er6In
1.0
6.0257 3.4789 5.0973
-6.0257 3.4789 5.0973
0.0000 -6.9579 5.0973
Nd Er In
12 6 1
Direct
0.0375 0.9315 0.2860
0.0685 0.7140 0.9625
0.1355 0.4835 0.3217
0.2860 0.0375 0.9315
0.3217 0.1355 0.4835
0.4835 0.3217 0.1355
0.5165 0.6783 0.8645
0.6783 0.8645 0.5165
0.7140 0.9625 0.0685
0.8645 0.5165 0.6783
0.9315 0.2860 0.0375
0.9625 0.0685 0.7140
0.2175 0.7557 0.6008
0.2443 0.3992 0.7825
0.3992 0.7825 0.2443
0.6008 0.2175 0.7557
0.7557 0.6008 0.2175
0.7825 0.2443 0.3992
0.5000 0.5000 0.5000
```

Main lines, most intense first (2θ from 5° to 70°):
d = 2.844 Å, 31.45°, rel. 100
d = 2.745 Å, 32.62°, rel. 68
d = 2.935 Å, 30.46°, rel. 40
d = 2.707 Å, 33.09°, rel. 33
d = 2.873 Å, 31.12°, rel. 26
d = 2.594 Å, 34.58°, rel. 18
d = 2.029 Å, 44.66°, rel. 12
d = 1.588 Å, 58.08°, rel. 12
d = 1.671 Å, 54.94°, rel. 11
d = 2.639 Å, 33.98°, rel. 10

---

NdEr4In: simulated X-ray diffraction stick pattern (Cu Kα, 1.54184 Å), based on the GGA-PBE geometry in Alexandria.
Lines closer than 0.1° are merged.

Crystal structure
```
NdEr4In
1.0
2.6824 -6.1171 0.0000
2.6824 6.1171 0.0000
0.0000 0.0000 11.0112
Nd Er In
2 8 2
Direct
0.1809 0.8191 0.5000
0.8191 0.1809 0.0000
0.0217 0.9783 0.7880
0.1750 0.8250 0.0679
0.3224 0.6776 0.7833
0.4955 0.5045 0.5266
0.5045 0.4955 0.0266
0.6776 0.3224 0.2833
0.8250 0.1750 0.5679
0.9783 0.0217 0.2880
0.3524 0.6476 0.2731
0.6476 0.3524 0.7731
```

Main lines, most intense first (2θ from 5° to 70°):
d = 2.797 Å, 32.00°, rel. 100
d = 2.682 Å, 33.40°, rel. 26
d = 2.753 Å, 32.53°, rel. 21
d = 1.570 Å, 58.83°, rel. 18
d = 1.921 Å, 47.32°, rel. 15
d = 2.943 Å, 30.38°, rel. 14
d = 1.598 Å, 57.70°, rel. 11
d = 2.039 Å, 44.42°, rel. 10
d = 1.623 Å, 56.71°, rel. 8
d = 1.398 Å, 66.92°, rel. 8

---

Nd6ErIn: simulated X-ray diffraction stick pattern (Cu Kα, 1.54184 Å), based on the GGA-PBE geometry in Alexandria.
Lines closer than 0.1° are merged.

Crystal structure
```
Nd6ErIn
1.0
5.0307 0.0000 0.0000
0.0000 5.0307 0.0000
0.0000 0.0000 10.3034
Nd Er In
6 1 1
Direct
0.0000 0.0000 0.0000
0.0000 0.0000 0.5000
0.0000 0.5000 0.2436
0.0000 0.5000 0.7564
0.5000 0.0000 0.2436
0.5000 0.0000 0.7564
0.5000 0.5000 0.5000
0.5000 0.5000 0.0000
```

Main lines, most intense first (2θ from 5° to 70°):
d = 2.927 Å, 30.54°, rel. 100
d = 2.515 Å, 35.70°, rel. 33
d = 1.520 Å, 60.95°, rel. 28
d = 1.800 Å, 50.73°, rel. 24
d = 2.576 Å, 34.83°, rel. 17
d = 1.546 Å, 59.80°, rel. 14
d = 1.464 Å, 63.57°, rel. 12
d = 1.779 Å, 51.37°, rel. 12
d = 3.362 Å, 26.51°, rel. 1
d = 4.521 Å, 19.64°, rel. 1

---

Nd3Er2In: simulated X-ray diffraction stick pattern (Cu Kα, 1.54184 Å), based on the GGA-PBE geometry in Alexandria.
Lines closer than 0.1° are merged.

Crystal structure
```
Nd3Er2In
1.0
8.6656 0.0000 0.0000
0.0000 3.7273 0.0000
-0.2068 0.0000 11.7772
Nd Er In
6 4 2
Direct
0.0931 0.2500 0.1032
0.3447 0.7500 0.5691
0.3899 0.7500 0.2511
0.6101 0.2500 0.7489
0.6553 0.2500 0.4309
0.9069 0.7500 0.8968
0.0803 0.2500 0.3925
0.3548 0.7500 0.9297
0.6452 0.2500 0.0703
0.9197 0.7500 0.6075
0.1644 0.2500 0.7563
0.8356 0.7500 0.2437
```

Main lines, most intense first (2θ from 5° to 70°):
d = 2.825 Å, 31.67°, rel. 100
d = 2.703 Å, 33.14°, rel. 96
d = 2.935 Å, 30.46°, rel. 55
d = 2.884 Å, 31.01°, rel. 49
d = 1.573 Å, 58.68°, rel. 19
d = 1.864 Å, 48.87°, rel. 18
d = 1.963 Å, 46.26°, rel. 17
d = 1.565 Å, 59.01°, rel. 16
d = 1.621 Å, 56.80°, rel. 16
d = 1.700 Å, 53.92°, rel. 14

---

NdErIn3: simulated X-ray diffraction stick pattern (Cu Kα, 1.54184 Å), based on the GGA-PBE geometry in Alexandria.
Lines closer than 0.1° are merged.

Crystal structure
```
NdErIn3
1.0
7.2711 0.0000 0.0000
-3.6355 6.2970 0.0000
0.0000 0.0000 6.4922
Nd Er In
2 2 6
Direct
0.3333 0.6667 0.2500
0.6667 0.3333 0.7500
0.0000 0.0000 0.0000
0.0000 0.0000 0.5000
0.2015 0.4029 0.7500
0.2015 0.7985 0.7500
0.4029 0.2015 0.2500
0.5971 0.7985 0.7500
0.7985 0.2015 0.2500
0.7985 0.5971 0.2500
```

Main lines, most intense first (2θ from 5° to 70°):
d = 2.833 Å, 31.58°, rel. 100
d = 2.260 Å, 39.89°, rel. 59
d = 2.885 Å, 30.99°, rel. 53
d = 3.636 Å, 24.49°, rel. 41
d = 2.380 Å, 37.80°, rel. 37
d = 1.783 Å, 51.22°, rel. 25
d = 1.818 Å, 50.19°, rel. 24
d = 1.538 Å, 60.17°, rel. 23
d = 3.246 Å, 27.48°, rel. 19
d = 1.997 Å, 45.41°, rel. 17